# 1
Theoretical powder diffractogram of Pu3IBr7 for Cu Kα (λ = 1.5418 Å), from a structure optimized by DFT (PBE).

The 8 most intense peaks (2θ = 10–90°), in order of rising 2θ:
(hkl)	2θ (°)	Rel. int.
2 0 -1	12.77	1000
1 1 -1	13.44	259
2 0 1	26.43	470
2 2 -2	27.08	974
4 2 -1	34.79	239
4 2 -3	35.46	376
0 4 0	41.37	546
6 2 -2	45.62	261

Atomic structure:
Unit cell a=13.879 b=8.728 c=10.075 alpha=90.00 beta=131.36 gamma=90.00
Space group Cm (No. 8)
One atom of each set of equivalent atoms:
Pu 0.000 0.000 0.000 [2 per cell]
Pu 0.248 0.248 0.495 [4 per cell]
I 0.197 0.500 0.673 [2 per cell]
Br 0.016 0.234 0.812 [4 per cell]
Br 0.214 0.000 0.650 [2 per cell]
Br 0.280 0.000 0.321 [2 per cell]
Br 0.282 0.500 0.344 [2 per cell]
Br 0.479 0.264 0.181 [4 per cell]

# 2
Theoretical powder diffractogram of RbPuI2Br for Cu Kα (λ = 1.5418 Å), from a structure optimized by DFT (PBE).

The 8 most intense peaks (2θ = 10–90°), in order of rising 2θ:
(hkl)	2θ (°)	Rel. int.
1 1 0	14.32	665
0 0 2	15.00	834
2 1 1	23.96	642
2 2 0	28.86	1000
0 0 4	30.27	685
3 1 0	32.32	845
3 1 2	35.84	885
2 2 4	42.32	709

Atomic structure:
Unit cell a=8.750 b=8.750 c=11.809 alpha=90.00 beta=90.00 gamma=90.00
Space group I4/mcm (No. 140)
One atom of each set of equivalent atoms:
Rb 0.000 0.500 0.250 [4 per cell]
Pu 0.000 0.000 0.000 [4 per cell]
I 0.187 0.313 0.000 [8 per cell]
Br 0.000 0.000 0.250 [4 per cell]